The following is a theoretical PXRD pattern of Tl8Hg3Se8. It was derived from the PBE geometry in Alexandria, using CuKα.

The 10 most intense peaks (2θ from 10° to 80°), by angle:
| 2θ/deg | I (rel.) | (hkl) |
| --- | --- | --- |
| 23.49 | 27.2 | 1 1 -2 |
| 23.80 | 46.1 | 5 1 -1 |
| 25.47 | 28.5 | 1 1 2 |
| 27.78 | 100.0 | 0 2 0 |
| 28.48 | 38.8 | 6 0 1 |
| 31.94 | 21.3 | 8 0 0 |
| 32.20 | 43.3 | 6 0 -3 |
| 40.20 | 36.2 | 6 2 1 |
| 43.04 | 36.5 | 6 2 -3 |
| 49.55 | 25.6 | 0 2 4 |

Atomic structure:
Cell lengths 23.487, 6.422, 9.422 Å; angles 90.00, 107.48, 90.00 degrees
Space group C2/m (No. 12)
Symmetry-distinct sites (fractional):
Tl 0.043 0.000 0.244 x4
Tl 0.093 0.500 0.961 x4
Tl 0.178 0.500 0.486 x4
Tl 0.198 0.000 0.833 x4
Hg 0.000 0.500 0.500 x2
Hg 0.191 0.000 0.208 x4
Se 0.033 0.500 0.275 x4
Se 0.095 0.000 0.975 x4
Se 0.178 0.000 0.475 x4
Se 0.201 0.500 0.826 x4